Diffraction record for Pr6TlIn6. The X-ray powder pattern is computed, not measured: it uses a crystal structure in Alexandria, relaxed with PBE and Cu Kα (λ = 1.5418 Å).
Peak positions follow from Bragg's law for the DFT cell and can differ from measured ones.

Crystal structure
abc: 6.524 6.524 11.004
angles: 90.00 90.00 120.00
Atoms (fractional coordinates):
Pr  0.000  0.000  0.195
Pr  0.000  0.000  0.805
Pr  0.333  0.667  0.000
Pr  0.333  0.667  0.500
Pr  0.667  0.333  0.000
Pr  0.667  0.333  0.500
Tl  0.000  0.000  0.500
In  0.000  0.500  0.249
In  0.000  0.500  0.751
In  0.500  0.000  0.249
In  0.500  0.000  0.751
In  0.500  0.500  0.249
In  0.500  0.500  0.751

Principal peaks in the range 2θ from 10° to 80°, in order of rising 2θ:
2θ 27.34, intensity 66; 2θ 29.02, intensity 33; 2θ 31.67, intensity 56; 2θ 31.89, intensity 82; 2θ 32.55, intensity 49; 2θ 35.73, intensity 100; 2θ 46.05, intensity 22; 2θ 56.41, intensity 40; 2θ 57.66, intensity 32; 2θ 66.66, intensity 36

***

Diffraction record for Pr3Tl3In. The X-ray powder pattern is computed, not measured: it uses a crystal structure in Alexandria, relaxed with PBE and Cu Kα (λ = 1.5418 Å).
Peak positions follow from Bragg's law for the DFT cell and can differ from measured ones.

Crystal structure
abc: 6.478 6.478 15.696
angles: 106.67 106.67 43.39
Atoms (fractional coordinates):
Pr  0.020  0.020  0.379
Pr  0.105  0.105  0.925
Pr  0.230  0.230  0.221
Pr  0.770  0.770  0.779
Pr  0.895  0.895  0.075
Pr  0.980  0.980  0.621
Tl  0.359  0.359  0.463
Tl  0.381  0.381  0.925
Tl  0.500  0.500  0.226
Tl  0.500  0.500  0.774
Tl  0.619  0.619  0.075
Tl  0.641  0.641  0.537
In  0.268  0.268  0.629
In  0.732  0.732  0.371

Principal peaks in the range 2θ from 10° to 80°, in order of rising 2θ:
2θ 28.57, intensity 54; 2θ 29.06, intensity 27; 2θ 29.43, intensity 100; 2θ 29.78, intensity 46; 2θ 33.62, intensity 35; 2θ 34.97, intensity 88; 2θ 36.13, intensity 34; 2θ 37.57, intensity 55; 2θ 48.67, intensity 28; 2θ 53.11, intensity 23

***

Diffraction record for Pr6TlIn2. The X-ray powder pattern is computed, not measured: it uses a crystal structure in Alexandria, relaxed with PBE and Cu Kα (λ = 1.5418 Å).
Peak positions follow from Bragg's law for the DFT cell and can differ from measured ones.

Crystal structure
abc: 5.985 9.477 11.433
angles: 90.00 115.64 90.00
Atoms (fractional coordinates):
Pr  0.023  0.163  0.079
Pr  0.023  0.337  0.579
Pr  0.372  0.514  0.309
Pr  0.372  0.986  0.809
Pr  0.406  0.170  0.435
Pr  0.406  0.330  0.935
Pr  0.594  0.670  0.065
Pr  0.594  0.830  0.565
Pr  0.628  0.014  0.191
Pr  0.628  0.486  0.691
Pr  0.977  0.663  0.421
Pr  0.977  0.837  0.921
Tl  0.000  0.000  0.500
Tl  0.000  0.500  0.000
In  0.185  0.647  0.746
In  0.185  0.853  0.246
In  0.815  0.147  0.754
In  0.815  0.353  0.254

Principal peaks in the range 2θ from 10° to 80°, in order of rising 2θ:
2θ 27.62, intensity 25; 2θ 30.01, intensity 46; 2θ 30.21, intensity 33; 2θ 32.07, intensity 100; 2θ 32.18, intensity 32; 2θ 32.77, intensity 29; 2θ 33.52, intensity 15; 2θ 34.47, intensity 13; 2θ 42.65, intensity 12; 2θ 58.44, intensity 13

***

Diffraction record for PrTm8In2. The X-ray powder pattern is computed, not measured: it uses a crystal structure in Alexandria, relaxed with PBE and Cu Kα (λ = 1.5418 Å).
Peak positions follow from Bragg's law for the DFT cell and can differ from measured ones.

Crystal structure
abc: 9.961 9.961 5.264
angles: 92.29 92.29 39.72
Atoms (fractional coordinates):
Pr  0.000  0.000  0.000
Tm  0.126  0.603  0.266
Tm  0.197  0.197  0.236
Tm  0.397  0.874  0.734
Tm  0.453  0.453  0.759
Tm  0.547  0.547  0.241
Tm  0.603  0.126  0.266
Tm  0.803  0.803  0.764
Tm  0.874  0.397  0.734
In  0.287  0.287  0.752
In  0.713  0.713  0.248

Principal peaks in the range 2θ from 10° to 80°, in order of rising 2θ:
2θ 32.70, intensity 100; 2θ 33.11, intensity 22; 2θ 34.06, intensity 37; 2θ 47.25, intensity 14; 2θ 54.21, intensity 7; 2θ 58.41, intensity 9; 2θ 60.60, intensity 8; 2θ 60.68, intensity 6; 2θ 64.80, intensity 7; 2θ 65.59, intensity 11

***

Diffraction record for Pr2TmIn3. The X-ray powder pattern is computed, not measured: it uses a crystal structure in Alexandria, relaxed with PBE and Cu Kα (λ = 1.5418 Å).
Peak positions follow from Bragg's law for the DFT cell and can differ from measured ones.

Crystal structure
abc: 8.038 8.038 5.834
angles: 90.00 90.00 78.85
Atoms (fractional coordinates):
Pr  0.078  0.647  0.750
Pr  0.353  0.922  0.750
Pr  0.647  0.078  0.250
Pr  0.922  0.353  0.250
Tm  0.398  0.602  0.250
Tm  0.602  0.398  0.750
In  0.085  0.915  0.250
In  0.293  0.293  0.000
In  0.293  0.293  0.500
In  0.707  0.707  0.000
In  0.707  0.707  0.500
In  0.915  0.085  0.750

Principal peaks in the range 2θ from 10° to 80°, in order of rising 2θ:
2θ 23.16, intensity 19; 2θ 27.83, intensity 100; 2θ 31.27, intensity 84; 2θ 33.79, intensity 40; 2θ 33.95, intensity 37; 2θ 34.11, intensity 26; 2θ 35.44, intensity 25; 2θ 38.12, intensity 26; 2θ 38.38, intensity 32; 2θ 56.32, intensity 22

***

Diffraction record for Pr9Tm4In11. The X-ray powder pattern is computed, not measured: it uses a crystal structure in Alexandria, relaxed with PBE and Cu Kα (λ = 1.5418 Å).
Peak positions follow from Bragg's law for the DFT cell and can differ from measured ones.

Crystal structure
abc: 14.246 14.246 3.508
angles: 90.00 90.00 102.73
Atoms (fractional coordinates):
Pr  0.000  0.000  0.000
Pr  0.132  0.642  0.000
Pr  0.288  0.455  0.000
Pr  0.358  0.868  0.000
Pr  0.455  0.288  0.000
Pr  0.545  0.712  0.000
Pr  0.642  0.132  0.000
Pr  0.712  0.545  0.000
Pr  0.868  0.358  0.000
Tm  0.058  0.241  0.000
Tm  0.241  0.058  0.000
Tm  0.759  0.942  0.000
Tm  0.942  0.759  0.000
In  0.074  0.432  0.500
In  0.134  0.866  0.500
In  0.245  0.245  0.500
In  0.340  0.660  0.500
In  0.432  0.074  0.500
In  0.500  0.500  0.500
In  0.568  0.926  0.500
In  0.660  0.340  0.500
In  0.755  0.755  0.500
In  0.866  0.134  0.500
In  0.926  0.568  0.500

Principal peaks in the range 2θ from 10° to 80°, in order of rising 2θ:
2θ 31.40, intensity 100; 2θ 31.79, intensity 14; 2θ 32.51, intensity 89; 2θ 35.21, intensity 67; 2θ 40.57, intensity 23; 2θ 52.15, intensity 15; 2θ 54.78, intensity 24; 2θ 60.15, intensity 16; 2θ 62.15, intensity 28; 2θ 68.09, intensity 15

***

Diffraction record for PrTmIn4. The X-ray powder pattern is computed, not measured: it uses a crystal structure in Alexandria, relaxed with PBE and Cu Kα (λ = 1.5418 Å).
Peak positions follow from Bragg's law for the DFT cell and can differ from measured ones.

Crystal structure
abc: 10.444 18.153 3.488
angles: 90.00 90.00 90.00
Atoms (fractional coordinates):
Pr  0.083  0.137  0.000
Pr  0.417  0.637  0.000
Pr  0.583  0.363  0.000
Pr  0.917  0.863  0.000
Tm  0.117  0.425  0.000
Tm  0.383  0.925  0.000
Tm  0.617  0.075  0.000
Tm  0.883  0.575  0.000
In  0.008  0.290  0.500
In  0.130  0.969  0.500
In  0.152  0.576  0.500
In  0.209  0.807  0.500
In  0.291  0.307  0.500
In  0.348  0.076  0.500
In  0.370  0.469  0.500
In  0.492  0.790  0.500
In  0.508  0.210  0.500
In  0.630  0.531  0.500
In  0.652  0.924  0.500
In  0.709  0.693  0.500
In  0.791  0.193  0.500
In  0.848  0.424  0.500
In  0.870  0.031  0.500
In  0.992  0.710  0.500

Principal peaks in the range 2θ from 10° to 80°, in order of rising 2θ:
2θ 30.79, intensity 76; 2θ 31.23, intensity 62; 2θ 32.39, intensity 59; 2θ 33.52, intensity 49; 2θ 34.29, intensity 100; 2θ 35.70, intensity 90; 2θ 35.79, intensity 41; 2θ 44.45, intensity 33; 2θ 52.47, intensity 29; 2θ 65.09, intensity 32

***

Diffraction record for PrTm4In4. The X-ray powder pattern is computed, not measured: it uses a crystal structure in Alexandria, relaxed with PBE and Cu Kα (λ = 1.5418 Å).
Peak positions follow from Bragg's law for the DFT cell and can differ from measured ones.

Crystal structure
abc: 7.232 7.232 10.434
angles: 90.00 90.00 90.00
Atoms (fractional coordinates):
Pr  0.250  0.750  0.250
Pr  0.750  0.250  0.750
Tm  0.015  0.250  0.159
Tm  0.250  0.015  0.659
Tm  0.250  0.485  0.659
Tm  0.485  0.250  0.159
Tm  0.515  0.750  0.841
Tm  0.750  0.515  0.341
Tm  0.750  0.985  0.341
Tm  0.985  0.750  0.841
In  0.041  0.250  0.456
In  0.250  0.041  0.956
In  0.250  0.459  0.956
In  0.459  0.250  0.456
In  0.541  0.750  0.544
In  0.750  0.541  0.044
In  0.750  0.959  0.044
In  0.959  0.750  0.544

Principal peaks in the range 2θ from 10° to 80°, in order of rising 2θ:
2θ 14.90, intensity 23; 2θ 28.48, intensity 20; 2θ 28.90, intensity 100; 2θ 35.10, intensity 48; 2θ 35.82, intensity 96; 2θ 36.62, intensity 29; 2θ 44.63, intensity 14; 2θ 50.48, intensity 27; 2θ 58.00, intensity 21; 2θ 63.44, intensity 29

***

- Number 1 is which compound?
  Pr6TlIn6